The following is a computed X-ray diffraction stick pattern of YCu2. It was derived from a cell relaxed with GGA-PBE, using Cu Ka.

Most intense lines, 10° ≤ 2θ ≤ 80°, by angle:
2θ 34.0, I 37, (2 2 0); 2θ 40.1, I 100, (3 1 1); 2θ 41.9, I 32, (2 2 2); 2θ 60.8, I 13, (4 2 2); 2θ 64.9, I 30, (5 1 1); 2θ 71.5, I 24, (4 4 0)

Atomic structure:
Cell lengths 7.461, 7.461, 7.461 Å; angles 90.00, 90.00, 90.00 degrees
Space group Fd-3m (No. 227, origin choice 2)
Unique sites:
Y 0.125 0.125 0.125
Cu 0.000 0.000 0.500

---

The following is a computed X-ray diffraction stick pattern of SrThF6. It was derived from a cell relaxed with GGA-PBE, using Cu Ka.

Most intense lines, 10° ≤ 2θ ≤ 80°, by angle:
2θ 11.7, I 38, (0 0 1); 2θ 23.6, I 35, (0 0 2); 2θ 24.6, I 39, (1 0 0); 2θ 27.3, I 100, (1 0 1); 2θ 43.2, I 42, (1 1 0); 2θ 43.9, I 49, (1 0 3)

Atomic structure:
```
data_SrThF6
_cell_length_a 4.1842
_cell_length_b 4.1842
_cell_length_c 7.5362
_cell_angle_alpha 90.00
_cell_angle_beta 90.00
_cell_angle_gamma 120.00
_symmetry_space_group_name_H-M 'P -6 m 2'
_symmetry_Int_Tables_number 187
_symmetry_space_group_name_Hall 'P -6 2'
loop_
_atom_site_label
_atom_site_fract_x
_atom_site_fract_y
_atom_site_fract_z
Sr1 0.0000 0.0000 0.0000
Th1 0.6667 0.3333 0.5000
F1 0.0000 0.0000 0.3457
F2 0.3333 0.6667 0.0000
F3 0.3333 0.6667 0.5000
F4 0.6667 0.3333 0.2063
```